VNi14Ir: simulated powder X-ray diffraction pattern (Cu Kα (weighted mean of Kα1 and Kα2)), based on DFT lattice parameters and positions (PBE).

Cell and atoms:
a = 5.056 Å, b = 5.056 Å, c = 7.031 Å
α = 90.00°, β = 90.00°, γ = 90.00°
Atoms (fractional coordinates):
V1 0.000 0.000 0.000
Ni1 0.000 0.000 0.500
Ni2 0.000 0.500 0.000
Ni3 0.000 0.500 0.500
Ni4 0.248 0.248 0.252
Ni5 0.248 0.248 0.748
Ni6 0.248 0.752 0.252
Ni7 0.248 0.752 0.748
Ni8 0.500 0.000 0.000
Ni9 0.500 0.000 0.500
Ni10 0.500 0.500 0.500
Ni11 0.752 0.248 0.252
Ni12 0.752 0.248 0.748
Ni13 0.752 0.752 0.252
Ni14 0.752 0.752 0.748
Ir1 0.500 0.500 0.000

Top 10 peaks for 2θ from 15° to 90°, in order of falling intensity:
2θ 44.13, 2.052 Å, I 100; 2θ 51.10, 1.787 Å, I 32; 2θ 75.92, 1.253 Å, I 18; 2θ 52.03, 1.758 Å, I 15; 2θ 75.17, 1.264 Å, I 9; 2θ 21.65, 4.105 Å, I 9; 2θ 17.54, 5.056 Å, I 6; 2θ 30.98, 2.886 Å, I 4; 2θ 41.98, 2.152 Å, I 3; 2θ 28.00, 3.187 Å, I 3

Ti4ZnSn: simulated powder X-ray diffraction pattern (Cu Kα (weighted mean of Kα1 and Kα2)), based on DFT lattice parameters and positions (PBE).

Cell and atoms:
a = 4.685 Å, b = 5.647 Å, c = 7.907 Å
α = 90.00°, β = 90.00°, γ = 90.00°
Atoms (fractional coordinates):
Ti1 0.250 0.006 0.236
Ti2 0.250 0.494 0.236
Ti3 0.250 0.750 0.589
Ti4 0.250 0.750 0.920
Ti5 0.750 0.250 0.080
Ti6 0.750 0.250 0.411
Ti7 0.750 0.506 0.764
Ti8 0.750 0.994 0.764
Zn1 0.250 0.250 0.932
Zn2 0.750 0.750 0.068
Sn1 0.250 0.250 0.597
Sn2 0.750 0.750 0.403

Top 10 peaks for 2θ from 15° to 90°, in order of falling intensity:
2θ 39.22, 2.297 Å, I 100; 2θ 38.94, 2.313 Å, I 63; 2θ 38.42, 2.343 Å, I 41; 2θ 56.06, 1.640 Å, I 18; 2θ 31.69, 2.824 Å, I 18; 2θ 51.27, 1.782 Å, I 18; 2θ 79.73, 1.203 Å, I 17; 2θ 24.69, 3.606 Å, I 17; 2θ 70.03, 1.344 Å, I 12; 2θ 70.72, 1.332 Å, I 11

As2O3: simulated powder X-ray diffraction pattern (Cu Kα (weighted mean of Kα1 and Kα2)), based on DFT lattice parameters and positions (PBE).

Cell and atoms:
a = 8.361 Å, b = 4.676 Å, c = 9.861 Å
α = 90.00°, β = 99.84°, γ = 90.00°
Atoms (fractional coordinates):
As1 0.062 0.000 0.112
As2 0.130 0.279 0.549
As3 0.371 0.023 0.951
As4 0.434 0.323 0.388
As5 0.566 0.823 0.612
As6 0.629 0.523 0.049
As7 0.870 0.779 0.451
As8 0.938 0.500 0.888
O1 0.006 0.368 0.065
O2 0.069 0.655 0.538
O3 0.221 0.263 0.392
O4 0.279 0.013 0.107
O5 0.431 0.399 0.961
O6 0.482 0.471 0.564
O7 0.518 0.971 0.436
O8 0.569 0.899 0.039
O9 0.721 0.513 0.893
O10 0.779 0.763 0.608
O11 0.931 0.155 0.462
O12 0.994 0.868 0.935

Top 10 peaks for 2θ from 15° to 90°, in order of falling intensity:
2θ 18.26, 4.858 Å, I 100; 2θ 24.43, 3.643 Å, I 93; 2θ 25.86, 3.446 Å, I 54; 2θ 21.86, 4.067 Å, I 44; 2θ 39.66, 2.273 Å, I 44; 2θ 29.82, 2.996 Å, I 41; 2θ 32.31, 2.771 Å, I 40; 2θ 21.58, 4.119 Å, I 22; 2θ 27.82, 3.207 Å, I 20; 2θ 46.12, 1.968 Å, I 18

TaZnPd6: simulated powder X-ray diffraction pattern (Cu Kα (weighted mean of Kα1 and Kα2)), based on DFT lattice parameters and positions (PBE).

Cell and atoms:
a = 3.957 Å, b = 3.957 Å, c = 7.817 Å
α = 90.00°, β = 90.00°, γ = 90.00°
Atoms (fractional coordinates):
Ta1 0.000 0.000 0.000
Zn1 0.000 0.000 0.500
Pd1 0.000 0.500 0.247
Pd2 0.000 0.500 0.753
Pd3 0.500 0.000 0.247
Pd4 0.500 0.000 0.753
Pd5 0.500 0.500 0.000
Pd6 0.500 0.500 0.500

Top 10 peaks for 2θ from 15° to 90°, in order of falling intensity:
2θ 39.62, 2.275 Å, I 100; 2θ 45.87, 1.978 Å, I 33; 2θ 80.63, 1.192 Å, I 24; 2θ 67.36, 1.390 Å, I 20; 2θ 46.47, 1.954 Å, I 16; 2θ 81.50, 1.181 Å, I 12; 2θ 85.34, 1.137 Å, I 11; 2θ 66.89, 1.399 Å, I 10; 2θ 25.23, 3.530 Å, I 5; 2θ 34.04, 2.634 Å, I 2

PmPr2Nd6: simulated powder X-ray diffraction pattern (Cu Kα (weighted mean of Kα1 and Kα2)), based on DFT lattice parameters and positions (PBE).

Cell and atoms:
a = 3.681 Å, b = 3.681 Å, c = 27.500 Å
α = 90.00°, β = 90.00°, γ = 120.00°
Atoms (fractional coordinates):
Pm1 0.000 0.000 0.000
Pr1 0.333 0.667 0.331
Pr2 0.333 0.667 0.669
Nd1 0.000 0.000 0.217
Nd2 0.000 0.000 0.437
Nd3 0.000 0.000 0.563
Nd4 0.000 0.000 0.783
Nd5 0.333 0.667 0.109
Nd6 0.333 0.667 0.891

Top 10 peaks for 2θ from 15° to 90°, in order of falling intensity:
2θ 32.47, 2.758 Å, I 100; 2θ 30.92, 2.892 Å, I 67; 2θ 29.23, 3.056 Å, I 51; 2θ 27.99, 3.188 Å, I 47; 2θ 58.55, 1.576 Å, I 43; 2θ 49.53, 1.840 Å, I 38; 2θ 40.91, 2.206 Å, I 32; 2θ 54.90, 1.672 Å, I 31; 2θ 60.48, 1.531 Å, I 18; 2θ 81.85, 1.177 Å, I 14

Tl4AgHg5: simulated powder X-ray diffraction pattern (Cu Kα (weighted mean of Kα1 and Kα2)), based on DFT lattice parameters and positions (PBE).

Cell and atoms:
a = 7.415 Å, b = 7.415 Å, c = 7.415 Å
α = 100.75°, β = 100.75°, γ = 128.82°
Atoms (fractional coordinates):
Tl1 0.067 0.695 0.762
Tl2 0.305 0.067 0.372
Tl3 0.695 0.933 0.628
Tl4 0.933 0.305 0.238
Ag1 0.236 0.236 0.000
Hg1 0.240 0.393 0.654
Hg2 0.393 0.739 0.153
Hg3 0.586 0.240 0.847
Hg4 0.739 0.586 0.346
Hg5 0.778 0.778 0.000

Top 10 peaks for 2θ from 15° to 90°, in order of falling intensity:
2θ 29.87, 2.991 Å, I 100; 2θ 41.30, 2.186 Å, I 65; 2θ 27.86, 3.203 Å, I 35; 2θ 38.94, 2.313 Å, I 33; 2θ 42.76, 2.115 Å, I 26; 2θ 31.63, 2.829 Å, I 23; 2θ 66.20, 1.412 Å, I 20; 2θ 30.96, 2.889 Å, I 19; 2θ 37.03, 2.428 Å, I 18; 2θ 33.80, 2.652 Å, I 18

Dy2Ga9Pt3: simulated powder X-ray diffraction pattern (Cu Kα (weighted mean of Kα1 and Kα2)), based on DFT lattice parameters and positions (PBE).

Cell and atoms:
a = 7.700 Å, b = 7.700 Å, c = 10.503 Å
α = 111.30°, β = 111.30°, γ = 60.19°
Atoms (fractional coordinates):
Dy1 0.084 0.252 0.251
Dy2 0.252 0.084 0.751
Dy3 0.748 0.916 0.249
Dy4 0.916 0.748 0.749
Ga1 0.023 0.863 0.079
Ga2 0.137 0.977 0.421
Ga3 0.193 0.359 0.580
Ga4 0.214 0.582 0.251
Ga5 0.306 0.477 0.928
Ga6 0.359 0.193 0.080
Ga7 0.375 0.625 0.750
Ga8 0.418 0.786 0.249
Ga9 0.477 0.306 0.428
Ga10 0.523 0.694 0.572
Ga11 0.582 0.214 0.751
Ga12 0.625 0.375 0.250
Ga13 0.641 0.807 0.920
Ga14 0.694 0.523 0.072
Ga15 0.786 0.418 0.749
Ga16 0.807 0.641 0.420
Ga17 0.863 0.023 0.579
Ga18 0.977 0.137 0.921
Pt1 0.000 0.500 0.000
Pt2 0.161 0.668 0.498
Pt3 0.332 0.839 0.002
Pt4 0.500 0.000 0.500
Pt5 0.668 0.161 0.998
Pt6 0.839 0.332 0.502

Top 10 peaks for 2θ from 15° to 90°, in order of falling intensity:
2θ 29.81, 2.997 Å, I 100; 2θ 40.51, 2.227 Å, I 96; 2θ 36.62, 2.454 Å, I 71; 2θ 40.63, 2.221 Å, I 47; 2θ 36.73, 2.447 Å, I 36; 2θ 37.75, 2.383 Å, I 36; 2θ 23.08, 3.854 Å, I 31; 2θ 44.94, 2.017 Å, I 31; 2θ 44.67, 2.028 Å, I 30; 2θ 63.28, 1.470 Å, I 22

Ba4TlI10: simulated powder X-ray diffraction pattern (Cu Kα (weighted mean of Kα1 and Kα2)), based on DFT lattice parameters and positions (PBE).

Cell and atoms:
a = 24.280 Å, b = 24.280 Å, c = 24.280 Å
α = 13.99°, β = 13.99°, γ = 13.99°
Atoms (fractional coordinates):
Ba1 0.101 0.101 0.101
Ba2 0.300 0.300 0.300
Ba3 0.700 0.700 0.700
Ba4 0.899 0.899 0.899
Tl1 0.500 0.500 0.500
I1 0.050 0.050 0.050
I2 0.151 0.151 0.151
I3 0.250 0.250 0.250
I4 0.350 0.350 0.350
I5 0.450 0.450 0.450
I6 0.550 0.550 0.550
I7 0.650 0.650 0.650
I8 0.750 0.750 0.750
I9 0.849 0.849 0.849
I10 0.950 0.950 0.950

Top 10 peaks for 2θ from 15° to 90°, in order of falling intensity:
2θ 30.27, 2.952 Å, I 100; 2θ 18.40, 4.821 Å, I 30; 2θ 53.73, 1.706 Å, I 29; 2θ 43.34, 2.088 Å, I 18; 2θ 35.64, 2.519 Å, I 14; 2θ 53.91, 1.701 Å, I 10; 2θ 21.28, 4.175 Å, I 9; 2θ 71.38, 1.321 Å, I 8; 2θ 71.52, 1.319 Å, I 8; 2θ 62.87, 1.478 Å, I 6

La7NdHo3: simulated powder X-ray diffraction pattern (Cu Kα (weighted mean of Kα1 and Kα2)), based on DFT lattice parameters and positions (PBE).

Cell and atoms:
a = 6.642 Å, b = 6.806 Å, c = 8.935 Å
α = 99.79°, β = 98.91°, γ = 95.52°
Atoms (fractional coordinates):
La1 0.000 0.000 0.000
La2 0.048 0.710 0.644
La3 0.210 0.223 0.707
La4 0.481 0.736 0.911
La5 0.519 0.264 0.089
La6 0.790 0.777 0.293
La7 0.952 0.290 0.356
Nd1 0.000 0.500 0.000
Ho1 0.319 0.926 0.335
Ho2 0.500 0.500 0.500
Ho3 0.681 0.074 0.665

Top 10 peaks for 2θ from 15° to 90°, in order of falling intensity:
2θ 31.34, 2.855 Å, I 100; 2θ 30.95, 2.890 Å, I 60; 2θ 31.58, 2.833 Å, I 35; 2θ 32.36, 2.767 Å, I 23; 2θ 30.65, 2.917 Å, I 16; 2θ 33.76, 2.655 Å, I 11; 2θ 56.05, 1.641 Å, I 11; 2θ 26.57, 3.355 Å, I 11; 2θ 27.40, 3.256 Å, I 10; 2θ 56.53, 1.628 Å, I 8

K3TlTe2O9: simulated powder X-ray diffraction pattern (Cu Kα (weighted mean of Kα1 and Kα2)), based on DFT lattice parameters and positions (PBE).

Cell and atoms:
a = 5.837 Å, b = 5.837 Å, c = 7.235 Å
α = 90.00°, β = 90.00°, γ = 120.00°
Atoms (fractional coordinates):
K1 0.000 0.000 0.000
K2 0.333 0.667 0.664
K3 0.667 0.333 0.336
Tl1 0.000 0.000 0.500
Te1 0.333 0.667 0.166
Te2 0.667 0.333 0.834
O1 0.000 0.500 0.000
O2 0.175 0.351 0.310
O3 0.175 0.825 0.310
O4 0.351 0.175 0.690
O5 0.500 0.000 0.000
O6 0.500 0.500 0.000
O7 0.649 0.825 0.310
O8 0.825 0.175 0.690
O9 0.825 0.649 0.690

Top 10 peaks for 2θ from 15° to 90°, in order of falling intensity:
2θ 21.44, 4.144 Å, I 100; 2θ 30.39, 2.942 Å, I 81; 2θ 30.63, 2.918 Å, I 77; 2θ 43.69, 2.072 Å, I 54; 2θ 54.30, 1.689 Å, I 31; 2θ 49.33, 1.847 Å, I 22; 2θ 49.00, 1.859 Å, I 22; 2θ 53.83, 1.703 Å, I 16; 2θ 63.22, 1.471 Å, I 16; 2θ 63.78, 1.459 Å, I 16

Ac2CeGe4Pt3: simulated powder X-ray diffraction pattern (Cu Kα (weighted mean of Kα1 and Kα2)), based on DFT lattice parameters and positions (PBE).

Cell and atoms:
a = 4.452 Å, b = 4.452 Å, c = 11.445 Å
α = 90.00°, β = 90.00°, γ = 90.00°
Atoms (fractional coordinates):
Ac1 0.000 0.500 0.228
Ac2 0.500 0.000 0.772
Ce1 0.000 0.000 0.500
Ge1 0.000 0.000 0.000
Ge2 0.000 0.500 0.664
Ge3 0.500 0.000 0.336
Ge4 0.500 0.500 0.000
Pt1 0.000 0.500 0.887
Pt2 0.500 0.000 0.113
Pt3 0.500 0.500 0.500

Top 10 peaks for 2θ from 15° to 90°, in order of falling intensity:
2θ 32.46, 2.758 Å, I 100; 2θ 30.87, 2.897 Å, I 73; 2θ 40.52, 2.226 Å, I 69; 2θ 51.79, 1.765 Å, I 36; 2θ 29.42, 3.036 Å, I 31; 2θ 58.65, 1.574 Å, I 24; 2θ 68.65, 1.367 Å, I 23; 2θ 28.35, 3.148 Å, I 20; 2θ 44.51, 2.036 Å, I 20; 2θ 37.36, 2.407 Å, I 18

Ac2CoH6Rh: simulated powder X-ray diffraction pattern (Cu Kα (weighted mean of Kα1 and Kα2)), based on DFT lattice parameters and positions (PBE).

Cell and atoms:
a = 5.263 Å, b = 5.263 Å, c = 5.524 Å
α = 118.79°, β = 118.79°, γ = 89.19°
Atoms (fractional coordinates):
Ac1 0.250 0.750 0.000
Ac2 0.750 0.250 0.000
Co1 0.000 0.000 0.500
H1 0.201 0.201 0.902
H2 0.237 0.237 0.499
H3 0.242 0.758 0.500
H4 0.758 0.242 0.500
H5 0.763 0.763 0.501
H6 0.799 0.799 0.098
Rh1 0.500 0.500 0.500

Top 10 peaks for 2θ from 15° to 90°, in order of falling intensity:
2θ 32.73, 2.736 Å, I 100; 2θ 34.07, 2.631 Å, I 90; 2θ 32.42, 2.761 Å, I 51; 2θ 32.53, 2.753 Å, I 51; 2θ 60.30, 1.535 Å, I 35; 2θ 21.84, 4.070 Å, I 26; 2θ 40.84, 2.210 Å, I 24; 2θ 44.52, 2.035 Å, I 22; 2θ 23.74, 3.748 Å, I 21; 2θ 57.16, 1.611 Å, I 21

ZnAs2PbO6: simulated powder X-ray diffraction pattern (Cu Kα (weighted mean of Kα1 and Kα2)), based on DFT lattice parameters and positions (PBE).

Cell and atoms:
a = 6.402 Å, b = 6.402 Å, c = 6.402 Å
α = 51.18°, β = 51.18°, γ = 51.18°
Atoms (fractional coordinates):
Zn1 0.000 0.000 0.000
As1 0.231 0.231 0.231
As2 0.769 0.769 0.769
Pb1 0.500 0.500 0.500
O1 0.017 0.416 0.780
O2 0.220 0.983 0.584
O3 0.416 0.780 0.017
O4 0.584 0.220 0.983
O5 0.780 0.017 0.416
O6 0.983 0.584 0.220

Top 10 peaks for 2θ from 15° to 90°, in order of falling intensity:
2θ 28.41, 3.141 Å, I 100; 2θ 32.38, 2.765 Å, I 57; 2θ 55.35, 1.660 Å, I 29; 2θ 43.61, 2.076 Å, I 25; 2θ 36.30, 2.475 Å, I 25; 2θ 47.65, 1.908 Å, I 18; 2θ 57.75, 1.596 Å, I 18; 2θ 15.97, 5.549 Å, I 17; 2θ 68.72, 1.366 Å, I 14; 2θ 19.28, 4.603 Å, I 14